# 1
Starting from a cell relaxed with GGA-PBE, the powder X-ray diffraction pattern of P2O5 was calculated for Cu Kα (λ = 1.5418 Å).
Lines closer than 0.1° are merged.

Structural model:
a b c (Å): 8.746 4.937 9.245
angles (deg): 68.57 31.70 79.73
Element x y z (fractional)
P (0.347, 0.653, 0.501)
P (0.653, 0.347, 0.499)
P (0.749, 0.751, 0.903)
P (0.751, 0.749, 0.597)
O (0.079, 0.863, 0.304)
O (0.362, 0.362, 0.638)
O (0.473, 0.584, 0.258)
O (0.496, 0.946, 0.387)
O (0.565, 0.992, 0.666)
O (0.584, 0.473, 0.685)
O (0.612, 0.612, 0.888)
O (0.863, 0.079, 0.754)
O (0.946, 0.496, 0.171)
O (0.992, 0.565, 0.777)

Most intense lines, 5 to 70 degrees two-theta, low angle first:
| 2θ (°) | I_rel |
| --- | --- |
| 20.1 | 100 |
| 21.4 | 8 |
| 25.2 | 15 |
| 30.7 | 39 |
| 33.3 | 25 |
| 39.3 | 12 |
| 46.1 | 9 |
| 60.6 | 9 |

=====

# 2
Starting from a cell relaxed with GGA-PBE, the powder X-ray diffraction pattern of P2O5 was calculated for Cu Kα (λ = 1.5418 Å).
Lines closer than 0.1° are merged.

Structural model:
a b c (Å): 4.937 4.937 8.746
angles (deg): 100.27 100.27 111.61
Element x y z (fractional)
P (0.000, 0.000, 0.000)
P (0.010, 0.690, 0.694)
P (0.088, 0.578, 0.192)
P (0.408, 0.585, 0.493)
O (0.128, 0.973, 0.840)
O (0.167, 0.338, 0.072)
O (0.179, 0.853, 0.111)
O (0.262, 0.259, 0.465)
O (0.284, 0.783, 0.616)
O (0.388, 0.733, 0.341)
O (0.675, 0.852, 0.963)
O (0.756, 0.756, 0.570)
O (0.808, 0.469, 0.230)
O (0.889, 0.394, 0.733)

Most intense lines, 5 to 70 degrees two-theta, low angle first:
| 2θ (°) | I_rel |
| --- | --- |
| 20.1 | 100 |
| 21.4 | 8 |
| 25.2 | 16 |
| 30.7 | 41 |
| 33.3 | 25 |
| 39.3 | 11 |
| 46.1 | 9 |
| 60.6 | 9 |

=====

# 3
Starting from a cell relaxed with GGA-PBE, the powder X-ray diffraction pattern of P2O5 was calculated for Cu Kα (λ = 1.5418 Å).
Lines closer than 0.1° are merged.

Structural model:
a b c (Å): 8.185 8.221 8.471
angles (deg): 89.58 89.98 88.06
Element x y z (fractional)
P (0.000, 0.000, 0.000)
P (0.022, 0.303, 0.823)
P (0.294, 0.043, 0.814)
P (0.404, 0.425, 0.163)
P (0.473, 0.520, 0.499)
P (0.526, 0.808, 0.319)
P (0.784, 0.536, 0.321)
P (0.893, 0.938, 0.662)
O (0.072, 0.952, 0.579)
O (0.191, 0.215, 0.771)
O (0.193, 0.984, 0.973)
O (0.235, 0.929, 0.670)
O (0.283, 0.310, 0.104)
O (0.369, 0.462, 0.351)
O (0.410, 0.790, 0.180)
O (0.414, 0.465, 0.652)
O (0.414, 0.588, 0.073)
O (0.466, 0.717, 0.478)
O (0.576, 0.322, 0.160)
O (0.659, 0.471, 0.460)
O (0.695, 0.717, 0.276)
O (0.744, 0.416, 0.178)
O (0.796, 0.100, 0.633)
O (0.798, 0.803, 0.598)
O (0.894, 0.299, 0.692)
O (0.930, 0.909, 0.848)
O (0.941, 0.939, 0.150)
O (0.957, 0.191, 0.969)

Most intense lines, 5 to 70 degrees two-theta, low angle first:
| 2θ (°) | I_rel |
| --- | --- |
| 15.0 | 100 |
| 15.1 | 41 |
| 15.5 | 35 |
| 21.7 | 15 |
| 25.8 | 13 |
| 26.1 | 7 |
| 26.8 | 7 |
| 34.5 | 9 |

=====

# 4
Starting from a cell relaxed with GGA-PBE, the powder X-ray diffraction pattern of P2O5 was calculated for Cu Kα (λ = 1.5418 Å).
Lines closer than 0.1° are merged.

Structural model:
a b c (Å): 3.093 3.269 5.920
angles (deg): 90.00 90.00 90.00
Element x y z (fractional)
P (0.000, 0.000, 0.000)
P (0.500, 0.000, 0.500)
O (0.000, 0.000, 0.311)
O (0.000, 0.000, 0.689)
O (0.000, 0.500, 0.000)
O (0.500, 0.000, 0.000)
O (0.500, 0.500, 0.500)

Most intense lines, 5 to 70 degrees two-theta, low angle first:
| 2θ (°) | I_rel |
| --- | --- |
| 27.3 | 100 |
| 30.2 | 93 |
| 32.7 | 83 |
| 55.2 | 40 |
| 56.3 | 32 |
| 59.8 | 26 |
| 65.2 | 15 |
| 66.6 | 18 |

=====

# 5
Starting from a cell relaxed with GGA-PBE, the powder X-ray diffraction pattern of P4O9 was calculated for Cu Kα (λ = 1.5418 Å).
Lines closer than 0.1° are merged.

Structural model:
a b c (Å): 10.453 10.453 10.453
angles (deg): 57.78 57.78 57.78
Element x y z (fractional)
P (0.014, 0.773, 0.704)
P (0.077, 0.077, 0.077)
P (0.204, 0.273, 0.514)
P (0.227, 0.296, 0.986)
P (0.273, 0.514, 0.204)
P (0.296, 0.986, 0.227)
P (0.423, 0.423, 0.423)
P (0.486, 0.796, 0.727)
P (0.514, 0.204, 0.273)
P (0.577, 0.577, 0.577)
P (0.704, 0.014, 0.773)
P (0.727, 0.486, 0.796)
P (0.773, 0.704, 0.014)
P (0.796, 0.727, 0.486)
P (0.923, 0.923, 0.923)
P (0.986, 0.227, 0.296)
O (0.056, 0.841, 0.777)
O (0.076, 0.350, 0.138)
O (0.077, 0.208, 0.643)
O (0.138, 0.076, 0.350)
O (0.143, 0.708, 0.577)
O (0.150, 0.424, 0.362)
O (0.159, 0.223, 0.944)
O (0.208, 0.643, 0.077)
O (0.223, 0.944, 0.159)
O (0.277, 0.341, 0.556)
O (0.292, 0.423, 0.857)
O (0.341, 0.556, 0.277)
O (0.350, 0.138, 0.076)
O (0.357, 0.923, 0.792)
O (0.362, 0.150, 0.424)
O (0.423, 0.857, 0.292)
O (0.424, 0.362, 0.150)
O (0.444, 0.723, 0.659)
O (0.556, 0.277, 0.341)
O (0.576, 0.638, 0.850)
O (0.577, 0.143, 0.708)
O (0.638, 0.850, 0.576)
O (0.643, 0.077, 0.208)
O (0.650, 0.862, 0.924)
O (0.659, 0.444, 0.723)
O (0.708, 0.577, 0.143)
O (0.723, 0.659, 0.444)
O (0.777, 0.056, 0.841)
O (0.792, 0.357, 0.923)
O (0.841, 0.777, 0.056)
O (0.850, 0.576, 0.638)
O (0.857, 0.292, 0.423)
O (0.862, 0.924, 0.650)
O (0.923, 0.792, 0.357)
O (0.924, 0.650, 0.862)
O (0.944, 0.159, 0.223)

Most intense lines, 5 to 70 degrees two-theta, low angle first:
| 2θ (°) | I_rel |
| --- | --- |
| 12.2 | 46 |
| 17.0 | 92 |
| 17.6 | 100 |
| 20.5 | 57 |
| 24.5 | 44 |
| 27.8 | 61 |
| 29.3 | 42 |
| 37.1 | 40 |

=====

# 6
Starting from a cell relaxed with GGA-PBE, the powder X-ray diffraction pattern of P2O9 was calculated for Cu Kα (λ = 1.5418 Å).
Lines closer than 0.1° are merged.

Structural model:
a b c (Å): 7.878 13.579 8.422
angles (deg): 90.00 110.86 90.00
Element x y z (fractional)
P (0.145, 0.137, 0.074)
P (0.145, 0.363, 0.574)
P (0.261, 0.602, 0.065)
P (0.261, 0.898, 0.565)
P (0.739, 0.102, 0.435)
P (0.739, 0.398, 0.935)
P (0.855, 0.637, 0.426)
P (0.855, 0.863, 0.926)
O (0.041, 0.628, 0.569)
O (0.041, 0.872, 0.069)
O (0.082, 0.628, 0.919)
O (0.082, 0.872, 0.419)
O (0.114, 0.106, 0.238)
O (0.114, 0.394, 0.738)
O (0.215, 0.243, 0.087)
O (0.215, 0.257, 0.587)
O (0.241, 0.620, 0.238)
O (0.241, 0.880, 0.738)
O (0.294, 0.072, 0.049)
O (0.294, 0.428, 0.549)
O (0.306, 0.007, 0.554)
O (0.306, 0.493, 0.054)
O (0.413, 0.668, 0.049)
O (0.413, 0.832, 0.549)
O (0.482, 0.639, 0.636)
O (0.482, 0.861, 0.136)
O (0.518, 0.139, 0.864)
O (0.518, 0.361, 0.364)
O (0.587, 0.168, 0.451)
O (0.587, 0.332, 0.951)
O (0.694, 0.507, 0.946)
O (0.694, 0.993, 0.446)
O (0.706, 0.572, 0.451)
O (0.706, 0.928, 0.951)
O (0.759, 0.120, 0.262)
O (0.759, 0.380, 0.762)
O (0.785, 0.743, 0.413)
O (0.785, 0.757, 0.913)
O (0.886, 0.606, 0.262)
O (0.886, 0.894, 0.762)
O (0.918, 0.128, 0.581)
O (0.918, 0.372, 0.081)
O (0.959, 0.128, 0.931)
O (0.959, 0.372, 0.431)

Most intense lines, 5 to 70 degrees two-theta, low angle first:
| 2θ (°) | I_rel |
| --- | --- |
| 17.2 | 45 |
| 18.6 | 77 |
| 21.5 | 55 |
| 22.6 | 44 |
| 23.3 | 100 |
| 23.7 | 48 |
| 26.3 | 64 |
| 26.3 | 44 |

=====

Copy entry 6 word for word.
Starting from a cell relaxed with GGA-PBE, the powder X-ray diffraction pattern of P2O9 was calculated for Cu Kα (λ = 1.5418 Å).
Lines closer than 0.1° are merged.

Structural model:
a b c (Å): 7.878 13.579 8.422
angles (deg): 90.00 110.86 90.00
Element x y z (fractional)
P (0.145, 0.137, 0.074)
P (0.145, 0.363, 0.574)
P (0.261, 0.602, 0.065)
P (0.261, 0.898, 0.565)
P (0.739, 0.102, 0.435)
P (0.739, 0.398, 0.935)
P (0.855, 0.637, 0.426)
P (0.855, 0.863, 0.926)
O (0.041, 0.628, 0.569)
O (0.041, 0.872, 0.069)
O (0.082, 0.628, 0.919)
O (0.082, 0.872, 0.419)
O (0.114, 0.106, 0.238)
O (0.114, 0.394, 0.738)
O (0.215, 0.243, 0.087)
O (0.215, 0.257, 0.587)
O (0.241, 0.620, 0.238)
O (0.241, 0.880, 0.738)
O (0.294, 0.072, 0.049)
O (0.294, 0.428, 0.549)
O (0.306, 0.007, 0.554)
O (0.306, 0.493, 0.054)
O (0.413, 0.668, 0.049)
O (0.413, 0.832, 0.549)
O (0.482, 0.639, 0.636)
O (0.482, 0.861, 0.136)
O (0.518, 0.139, 0.864)
O (0.518, 0.361, 0.364)
O (0.587, 0.168, 0.451)
O (0.587, 0.332, 0.951)
O (0.694, 0.507, 0.946)
O (0.694, 0.993, 0.446)
O (0.706, 0.572, 0.451)
O (0.706, 0.928, 0.951)
O (0.759, 0.120, 0.262)
O (0.759, 0.380, 0.762)
O (0.785, 0.743, 0.413)
O (0.785, 0.757, 0.913)
O (0.886, 0.606, 0.262)
O (0.886, 0.894, 0.762)
O (0.918, 0.128, 0.581)
O (0.918, 0.372, 0.081)
O (0.959, 0.128, 0.931)
O (0.959, 0.372, 0.431)

Most intense lines, 5 to 70 degrees two-theta, low angle first:
| 2θ (°) | I_rel |
| --- | --- |
| 17.2 | 45 |
| 18.6 | 77 |
| 21.5 | 55 |
| 22.6 | 44 |
| 23.3 | 100 |
| 23.7 | 48 |
| 26.3 | 64 |
| 26.3 | 44 |